Simulated powder XRD pattern
Compound: Na3Zn2Mo3O12
Radiation: copper Kα
Structure: a DFT-relaxed cell (PBE+U, Alexandria)
Neutral-atom scattering factors, no anomalous dispersion.

Peak list (12 most intense, 2θ from 10° to 90°, low angle first)
hkl, Position (°2θ), d_spacing, I (rel.)
2 0 0, 15.8, 5.604, 40
1 3 -1, 22.8, 3.897, 53
3 1 0, 24.7, 3.608, 23
1 1 -2, 25.4, 3.511, 61
3 1 -2, 28.2, 3.160, 36
0 4 1, 28.9, 3.084, 32
2 4 0, 30.2, 2.957, 100
1 3 -2, 31.3, 2.858, 38
1 1 2, 31.7, 2.819, 28
4 0 0, 31.9, 2.802, 32
3 5 -2, 42.8, 2.113, 32
2 0 -4, 50.3, 1.814, 29

Cell and atoms:
```
data_Na3Zn2Mo3O12
_cell_length_a 12.3276
_cell_length_b 13.9241
_cell_length_c 7.3187
_cell_angle_alpha 90.00
_cell_angle_beta 114.62
_cell_angle_gamma 90.00
_symmetry_space_group_name_H-M 'C 1 2/c 1'
_symmetry_Int_Tables_number 15
loop_
_symmetry_equiv_pos_as_xyz
'x,y,z'
'-x,-y,-z'
'-x,y,-z+1/2'
'x,-y,z+1/2'
'x+1/2,y+1/2,z'
'-x+1/2,-y+1/2,-z'
'-x+1/2,y+1/2,-z+1/2'
'x+1/2,-y+1/2,z+1/2'
loop_
_atom_site_label
_atom_site_fract_x
_atom_site_fract_y
_atom_site_fract_z
_atom_site_occupancy
Na1 0.0000 0.0000 0.0000 1
Na2 0.0000 0.2346 0.2500 1
Na3 0.0000 0.4649 0.7500 1
Zn1 0.2139 0.3453 0.1333 1
Mo1 0.0000 0.2215 0.7500 1
Mo2 0.2282 0.3922 0.6241 1
O1 0.0444 0.3023 0.9753 1
O2 0.1110 0.1343 0.7305 1
O3 0.1185 0.0839 0.3012 1
O4 0.1498 0.4939 0.0938 1
O5 0.1728 0.3305 0.3865 1
O6 0.2152 0.3235 0.8239 1
```

=====

Simulated powder XRD pattern
Compound: V2PdPbO8
Radiation: copper Kα
Structure: a DFT-relaxed cell (PBE+U, Alexandria)
Neutral-atom scattering factors, no anomalous dispersion.

Peak list (12 most intense, 2θ from 10° to 90°, low angle first)
hkl, Position (°2θ), d_spacing, I (rel.)
1 0 0, 19.6, 4.536, 94
1 0 1, 23.2, 3.837, 32
0 1 2, 31.7, 2.818, 100
1 1 0, 34.2, 2.619, 58
1 1 1, 36.5, 2.461, 15
2 -1 2, 42.7, 2.117, 34
0 2 2, 47.4, 1.918, 37
1 0 4, 54.9, 1.672, 13
3 -2 2, 59.8, 1.548, 36
3 0 0, 61.3, 1.512, 16
1 1 4, 62.7, 1.483, 23
3 1 2, 81.0, 1.187, 14

Cell and atoms:
```
data_V2PdPbO8
_cell_length_a 5.2376
_cell_length_b 5.2376
_cell_length_c 7.1938
_cell_angle_alpha 90.00
_cell_angle_beta 90.00
_cell_angle_gamma 120.00
_symmetry_space_group_name_H-M 'P -3'
_symmetry_Int_Tables_number 147
loop_
_symmetry_equiv_pos_as_xyz
'x,y,z'
'-x,-y,-z'
'-y,x-y,z'
'y,-x+y,-z'
'-x+y,-x,z'
'x-y,x,-z'
loop_
_atom_site_label
_atom_site_fract_x
_atom_site_fract_y
_atom_site_fract_z
_atom_site_occupancy
V1 0.3333 0.6667 0.2352 1
Pd1 0.0000 0.0000 0.0000 1
Pb1 0.0000 0.0000 0.5000 1
O1 0.0379 0.3140 0.1745 1
O2 0.3333 0.6667 0.4690 1
```